Li14CdNi: computed powder diffractogram (Cu Kα, 1.54184 Å), based on a DFT-relaxed cell (PBE, Alexandria).
No peak broadening, texture or thermal motion is included.

Principal peaks in the range 2θ from 10° to 80°, by intensity:
2θ 19.2, rel. 100.0
2θ 16.8, rel. 69.7
2θ 37.1, rel. 54.5
2θ 18.7, rel. 54.1
2θ 25.2, rel. 50.6
2θ 40.7, rel. 37.6

Atomic structure:
```
Li14CdNi
1.0
9.513 0.000 0.000
0.000 2.847 5.278
0.000 -2.847 5.278
Li Cd Ni
14 1 1
Direct
0.000 0.000 0.000
0.000 0.492 0.492
0.000 0.493 0.998
0.000 0.998 0.493
0.248 0.841 0.841
0.268 0.337 0.851
0.268 0.851 0.337
0.273 0.329 0.329
0.500 0.184 0.693
0.500 0.693 0.184
0.727 0.329 0.329
0.732 0.337 0.851
0.732 0.851 0.337
0.752 0.841 0.841
0.500 0.691 0.691
0.500 0.182 0.182
```


La3Ge2Pd7: computed powder diffractogram (Cu Kα, 1.54184 Å), based on a DFT-relaxed cell (PBE, Alexandria).
No peak broadening, texture or thermal motion is included.

Principal peaks in the range 2θ from 10° to 80°, by intensity:
2θ 35.9, rel. 100.0
2θ 43.2, rel. 50.3
2θ 30.9, rel. 23.7
2θ 41.4, rel. 20.4
2θ 74.5, rel. 20.1
2θ 39.8, rel. 17.4

Atomic structure:
```
La3Ge2Pd7
1.0
-2.093 2.093 14.031
2.093 -2.093 14.031
2.093 2.093 -14.031
La Ge Pd
3 2 7
Direct
0.000 0.000 0.000
0.174 0.174 0.000
0.826 0.826 0.000
0.373 0.373 0.000
0.627 0.627 0.000
0.078 0.578 0.500
0.281 0.281 0.000
0.422 0.922 0.500
0.500 0.500 0.000
0.578 0.078 0.500
0.719 0.719 0.000
0.922 0.422 0.500
```


Na5SmI8: computed powder diffractogram (Cu Kα, 1.54184 Å), based on a DFT-relaxed cell (PBE, Alexandria).
No peak broadening, texture or thermal motion is included.

Principal peaks in the range 2θ from 10° to 80°, by intensity:
2θ 25.4, rel. 100.0
2θ 27.2, rel. 63.3
2θ 26.9, rel. 44.9
2θ 29.7, rel. 43.1
2θ 33.1, rel. 40.0
2θ 44.3, rel. 35.8

Atomic structure:
```
Na5SmI8
1.0
8.778 0.000 0.000
-2.520 8.409 0.000
-2.529 -4.646 7.007
Na Sm I
5 1 8
Direct
0.000 0.000 0.000
0.066 0.613 0.157
0.456 0.843 0.909
0.544 0.452 0.387
0.934 0.091 0.547
0.500 0.249 0.749
0.172 0.869 0.603
0.259 0.358 0.012
0.267 0.397 0.569
0.346 0.987 0.246
0.654 0.900 0.641
0.733 0.302 0.130
0.742 0.755 0.100
0.828 0.431 0.698
```


Li2Ta2H7: computed powder diffractogram (Cu Kα, 1.54184 Å), based on a DFT-relaxed cell (PBE, Alexandria).
No peak broadening, texture or thermal motion is included.

Principal peaks in the range 2θ from 10° to 80°, by intensity:
2θ 19.1, rel. 100.0
2θ 34.7, rel. 51.5
2θ 35.9, rel. 45.8
2θ 46.6, rel. 39.4
2θ 28.6, rel. 37.8
2θ 30.1, rel. 32.2

Atomic structure:
```
Li2Ta2H7
1.0
2.969 -3.116 0.000
2.969 3.116 0.000
0.000 0.000 4.648
Li Ta H
2 2 7
Direct
0.237 0.763 0.000
0.763 0.237 0.000
0.232 0.232 0.500
0.768 0.768 0.500
0.000 0.000 0.228
0.000 0.000 0.772
0.000 0.500 0.259
0.000 0.500 0.741
0.500 0.000 0.259
0.500 0.000 0.741
0.500 0.500 0.000
```


La2Pm7HoTl2: computed powder diffractogram (Cu Kα, 1.54184 Å), based on a DFT-relaxed cell (PBE, Alexandria).
No peak broadening, texture or thermal motion is included.

Principal peaks in the range 2θ from 10° to 80°, by intensity:
2θ 30.3, rel. 100.0
2θ 30.7, rel. 45.8
2θ 33.2, rel. 37.9
2θ 36.4, rel. 30.5
2θ 62.3, rel. 26.0
2θ 50.1, rel. 22.3

Atomic structure:
```
La2Pm7HoTl2
1.0
3.517 -3.458 0.000
3.517 3.458 0.000
0.000 0.000 16.169
La Pm Ho Tl
2 7 1 2
Direct
0.000 0.000 0.167
0.000 0.000 0.833
0.000 0.000 0.500
0.000 0.500 0.335
0.000 0.500 0.665
0.276 0.276 0.000
0.500 0.000 0.335
0.500 0.000 0.665
0.724 0.724 0.000
0.500 0.500 0.500
0.499 0.499 0.818
0.501 0.501 0.182
```